Theoretical powder diffraction line list of K2H6PbO6 for CuKα, from a DFT-relaxed cell (GGA-PBE, Alexandria).
Intensities are scaled so that the largest is 100.

The 10 most intense peaks (10 to 80 degrees two-theta), sorted by position:
16.36°, d 5.419, I = 100
20.63°, d 4.305, I = 45
21.72°, d 4.092, I = 25
25.54°, d 3.487, I = 62
30.48°, d 2.932, I = 23
32.73°, d 2.736, I = 21
33.77°, d 2.654, I = 82
41.97°, d 2.153, I = 25
50.52°, d 1.806, I = 24
51.81°, d 1.765, I = 18

Structural model:
abc: 6.9742 6.9742 12.2759
angles: 90.00 90.00 120.00
Space group R-3 (No. 148, hexagonal axes)
Asymmetric unit:
1 K 0.0000 0.0000 0.2004 x6
2 H 0.0032 0.5725 0.3097 x18
3 Pb 0.0000 0.0000 0.5000 x3
4 O 0.0369 0.4687 0.2690 x18

Theoretical powder diffraction line list of Cs4H4SeS3O16 for CuKα, from a DFT-relaxed cell (GGA-PBE, Alexandria).
Intensities are scaled so that the largest is 100.

The 10 most intense peaks (10 to 80 degrees two-theta), sorted by position:
17.30°, d 5.125, I = 16
23.70°, d 3.754, I = 100
24.26°, d 3.668, I = 56
24.37°, d 3.653, I = 54
27.55°, d 3.237, I = 44
29.90°, d 2.989, I = 17
31.28°, d 2.859, I = 49
36.87°, d 2.438, I = 13
47.23°, d 1.925, I = 12
49.75°, d 1.833, I = 15

Structural model:
abc: 7.9452 7.9484 8.3855
angles: 90.01 90.27 109.12
Space group P1 (No. 1)
Asymmetric unit:
1 Cs 0.0000 0.0000 0.0000 x1
2 Cs 0.0909 0.5747 0.5085 x1
3 Cs 0.4919 0.9966 0.2501 x1
4 Cs 0.5940 0.5785 0.7511 x1
5 H 0.2345 0.1544 0.6650 x1
6 H 0.3397 0.4110 0.0688 x1
7 H 0.7344 0.1537 0.5813 x1
8 H 0.8589 0.4115 0.1669 x1
9 Se 0.5781 0.5364 0.2425 x1
10 S 0.0033 0.0317 0.5088 x1
11 S 0.0822 0.5410 0.0066 x1
12 S 0.5070 0.0384 0.7407 x1
13 O 0.0952 0.9843 0.3741 x1
14 O 0.1433 0.1939 0.6025 x1
15 O 0.1538 0.6824 0.1249 x1
16 O 0.2164 0.4634 0.9467 x1
17 O 0.3735 0.1218 0.7896 x1
18 O 0.4220 0.3609 0.1354 x1
19 O 0.4363 0.8902 0.6285 x1
20 O 0.4770 0.5883 0.3965 x1
21 O 0.6000 0.9949 0.8772 x1
22 O 0.6465 0.1971 0.6440 x1
23 O 0.6569 0.7026 0.1161 x1
24 O 0.7258 0.4384 0.2971 x1
25 O 0.8685 0.1125 0.4571 x1
26 O 0.9350 0.8867 0.6240 x1
27 O 0.9475 0.3748 0.0983 x1
28 O 0.9849 0.5907 0.8765 x1

Theoretical powder diffraction line list of NpCd2Au4 for CuKα, from a DFT-relaxed cell (GGA-PBE, Alexandria).
Intensities are scaled so that the largest is 100.

The 10 most intense peaks (10 to 80 degrees two-theta), sorted by position:
36.22°, d 2.480, I = 94
37.11°, d 2.422, I = 55
37.22°, d 2.416, I = 100
37.65°, d 2.389, I = 33
45.03°, d 2.013, I = 21
51.91°, d 1.762, I = 18
53.90°, d 1.701, I = 24
65.52°, d 1.425, I = 18
66.97°, d 1.397, I = 18
73.97°, d 1.281, I = 42

Structural model:
abc: 3.0219 4.8449 19.5114
angles: 90.00 90.00 90.00
Space group Immm (No. 71)
Asymmetric unit:
1 Np 0.0000 0.0000 0.0000 x2
2 Cd 0.0000 0.5000 0.2016 x4
3 Au 0.0000 0.0000 0.4284 x4
4 Au 0.0000 0.5000 0.3495 x4

Theoretical powder diffraction line list of MnPt6Rh2 for CuKα, from a DFT-relaxed cell (GGA-PBE, Alexandria).
Intensities are scaled so that the largest is 100.

The 10 most intense peaks (10 to 80 degrees two-theta), sorted by position:
23.23°, d 3.829, I = 18
35.40°, d 2.536, I = 4
40.44°, d 2.231, I = 100
40.82°, d 2.210, I = 95
47.50°, d 1.914, I = 3
49.23°, d 1.851, I = 3
58.81°, d 1.570, I = 34
73.28°, d 1.292, I = 12
74.06°, d 1.280, I = 34
74.33°, d 1.276, I = 16

Structural model:
abc: 7.6571 7.6571 2.7445
angles: 90.00 90.00 120.00
Space group P-31m (No. 162)
Asymmetric unit:
1 Mn 0.0000 0.0000 0.0000 x1
2 Pt 0.0000 0.3292 0.2322 x6
3 Rh 0.3333 0.6667 0.5000 x2

Repeat the third record exactly.
Theoretical powder diffraction line list of NpCd2Au4 for CuKα, from a DFT-relaxed cell (GGA-PBE, Alexandria).
Intensities are scaled so that the largest is 100.

The 10 most intense peaks (10 to 80 degrees two-theta), sorted by position:
36.22°, d 2.480, I = 94
37.11°, d 2.422, I = 55
37.22°, d 2.416, I = 100
37.65°, d 2.389, I = 33
45.03°, d 2.013, I = 21
51.91°, d 1.762, I = 18
53.90°, d 1.701, I = 24
65.52°, d 1.425, I = 18
66.97°, d 1.397, I = 18
73.97°, d 1.281, I = 42

Structural model:
abc: 3.0219 4.8449 19.5114
angles: 90.00 90.00 90.00
Space group Immm (No. 71)
Asymmetric unit:
1 Np 0.0000 0.0000 0.0000 x2
2 Cd 0.0000 0.5000 0.2016 x4
3 Au 0.0000 0.0000 0.4284 x4
4 Au 0.0000 0.5000 0.3495 x4